Structure and theoretical XRD peak list of Na2ZrW3O12 (DFT lattice parameters and positions (GGA+U); Cu Kα, 1.54184 Å).
Kinematic intensities with the Lorentz-polarization factor, no thermal factor.

Crystal structure
Cell lengths 5.1082, 5.1082, 38.5320 Å; angles 90.00, 90.00, 90.00 degrees
Space group I4_1 (No. 80)
Inequivalent atoms, fractional coordinates:
Na (0.0000, 0.0000, 0.0000) x4
Na (0.0000, 0.0000, 0.1935) x4
Zr (0.0000, 0.0000, 0.8388) x4
W (0.0000, 0.0000, 0.3655) x4
W (0.0000, 0.0000, 0.5213) x4
W (0.0000, 0.0000, 0.6706) x4
O (0.1300, 0.2618, 0.9493) x8
O (0.1331, 0.7506, 0.4944) x8
O (0.1472, 0.2265, 0.7964) x8
O (0.1724, 0.7675, 0.3357) x8
O (0.1816, 0.6886, 0.6552) x8
O (0.1943, 0.2655, 0.8719) x8

Top 10 peaks for 10 to 90 degrees two-theta, by intensity:
| two_theta | Rel. int. |
| --- | --- |
| 28.35 | 100.0 |
| 23.76 | 61.3 |
| 17.51 | 49.6 |
| 58.96 | 26.1 |
| 50.44 | 23.5 |
| 35.14 | 22.8 |
| 35.00 | 20.5 |
| 42.86 | 18.9 |
| 50.54 | 15.0 |
| 45.37 | 14.4 |